1.
# Li3Ag5Hg
Theoretical powder X-ray diffraction pattern, copper Kα. Input: the PBE geometry in Alexandria.
Intensities are scaled so that the largest is 100.

Cell and atoms:
```
data_Li3Ag5Hg
_space_group_name_H-M_alt 'P 63/m c m'
_space_group_IT_number 193
_space_group_name_Hall '-P 6c 2'
_cell_length_a 7.9582
_cell_length_b 7.9582
_cell_length_c 5.6500
_cell_angle_alpha 90.00
_cell_angle_beta 90.00
_cell_angle_gamma 120.00
loop_
_atom_site_label
_atom_site_type_symbol
_atom_site_fract_x
_atom_site_fract_y
_atom_site_fract_z
Li1 Li 0.0000 0.3274 0.2500
Ag1 Ag 0.0000 0.3448 0.7500
Ag2 Ag 0.3333 0.6667 0.0000
Hg1 Hg 0.0000 0.0000 0.0000
```

Peak list (10 most intense, 10 to 80 degrees two-theta, low angle first)
- 12.84°, rel. 10
- 22.34°, rel. 36
- 27.42°, rel. 56
- 39.11°, rel. 100
- 39.21°, rel. 82
- 48.51°, rel. 11
- 56.58°, rel. 33
- 64.07°, rel. 9
- 71.02°, rel. 46
- 79.69°, rel. 20

---

2.
# LiMg2Ag2Hg
Theoretical powder X-ray diffraction pattern, copper Kα. Input: the PBE geometry in Alexandria.
Intensities are scaled so that the largest is 100.

Cell and atoms:
```
data_LiMg2Ag2Hg
_space_group_name_H-M_alt 'P m c 21'
_space_group_IT_number 26
_cell_length_a 4.1521
_cell_length_b 8.9332
_cell_length_c 6.0769
_cell_angle_alpha 90.00
_cell_angle_beta 90.00
_cell_angle_gamma 90.00
loop_
_space_group_symop_operation_xyz
'x,y,z'
'-x,-y,z+1/2'
'-x,y,z'
'x,-y,z+1/2'
loop_
_atom_site_label
_atom_site_type_symbol
_atom_site_fract_x
_atom_site_fract_y
_atom_site_fract_z
Li1 Li 0.0000 0.1692 0.0000
Mg1 Mg 0.0000 0.1704 0.5196
Mg2 Mg 0.5000 0.3553 0.2420
Ag1 Ag 0.0000 0.4977 0.4960
Ag2 Ag 0.5000 0.3262 0.7571
Hg1 Hg 0.5000 0.0177 0.2531
```

Peak list (10 most intense, 10 to 80 degrees two-theta, low angle first)
- 19.88°, rel. 47
- 21.40°, rel. 31
- 23.63°, rel. 69
- 31.09°, rel. 35
- 36.65°, rel. 100
- 37.16°, rel. 91
- 42.04°, rel. 29
- 42.51°, rel. 62
- 43.60°, rel. 31
- 62.52°, rel. 38

---

3.
# LiAgHgPb
Theoretical powder X-ray diffraction pattern, copper Kα. Input: the PBE geometry in Alexandria.
Intensities are scaled so that the largest is 100.

Cell and atoms:
```
data_LiAgHgPb
_space_group_name_H-M_alt 'I -4 m 2'
_space_group_IT_number 119
_space_group_name_Hall 'I -4 -2'
_cell_length_a 4.5590
_cell_length_b 4.5590
_cell_length_c 8.2902
_cell_angle_alpha 90.00
_cell_angle_beta 90.00
_cell_angle_gamma 90.00
loop_
_atom_site_label
_atom_site_type_symbol
_atom_site_fract_x
_atom_site_fract_y
_atom_site_fract_z
Li1 Li 0.0000 0.0000 0.0000
Ag1 Ag 0.0000 0.0000 0.5000
Hg1 Hg 0.0000 0.5000 0.7500
Pb1 Pb 0.0000 0.5000 0.2500
```

Peak list (10 most intense, 10 to 80 degrees two-theta, low angle first)
- 21.44°, rel. 25
- 22.25°, rel. 14
- 27.67°, rel. 28
- 35.27°, rel. 100
- 39.53°, rel. 37
- 43.67°, rel. 14
- 45.41°, rel. 15
- 57.15°, rel. 13
- 60.36°, rel. 21
- 68.96°, rel. 29